Record 1
Diffraction record for Li3CoB2O6. The X-ray diffraction stick pattern is simulated, not measured: it uses a crystal structure in Alexandria, relaxed with PBE+U and copper Kα.
Lines closer than 0.1° are merged.

Cell: 5.159 8.926 10.943 Å, 90.00 117.02 90.00°
Fractional positions:
Li 0.004 0.014 0.170
Li 0.004 0.486 0.670
Li 0.040 0.668 0.879
Li 0.040 0.832 0.379
Li 0.423 0.008 0.599
Li 0.423 0.492 0.099
Li 0.577 0.508 0.901
Li 0.577 0.992 0.401
Li 0.960 0.168 0.621
Li 0.960 0.332 0.121
Li 0.996 0.514 0.330
Li 0.996 0.986 0.830
Co 0.461 0.665 0.624
Co 0.461 0.835 0.124
Co 0.539 0.165 0.876
Co 0.539 0.335 0.376
B 0.050 0.172 0.379
B 0.050 0.328 0.879
B 0.471 0.164 0.129
B 0.471 0.336 0.629
B 0.529 0.664 0.371
B 0.529 0.836 0.871
B 0.950 0.672 0.121
B 0.950 0.828 0.621
O 0.142 0.192 0.848
O 0.142 0.308 0.348
O 0.188 0.040 0.381
O 0.188 0.460 0.881
O 0.192 0.673 0.095
O 0.192 0.827 0.595
O 0.318 0.662 0.417
O 0.318 0.838 0.917
O 0.349 0.027 0.141
O 0.349 0.473 0.641
O 0.378 0.207 0.665
O 0.378 0.293 0.165
O 0.622 0.707 0.835
O 0.622 0.793 0.335
O 0.651 0.527 0.359
O 0.651 0.973 0.859
O 0.682 0.162 0.083
O 0.682 0.338 0.583
O 0.808 0.173 0.405
O 0.808 0.327 0.905
O 0.812 0.540 0.119
O 0.812 0.960 0.619
O 0.858 0.692 0.652
O 0.858 0.808 0.152

Top 6 peaks for 10° ≤ 2θ ≤ 90°, by angle:
| 2θ/deg | I/Imax | (hkl) |
| --- | --- | --- |
| 19.31 | 70 | 1 0 0 |
| 19.89 | 59 | 0 2 0 |
| 20.76 | 86 | 0 1 2 |
| 26.85 | 40 | 1 1 1 |
| 34.80 | 100 | 1 3 -1 |
| 36.88 | 93 | 0 0 4 |

Record 2
Diffraction record for Li4CoB2O6. The X-ray diffraction stick pattern is simulated, not measured: it uses a crystal structure in Alexandria, relaxed with PBE+U and copper Kα.
Lines closer than 0.1° are merged.

Cell: 7.988 9.467 3.238 Å, 90.00 90.00 90.00°
Fractional positions:
Li 0.004 0.212 0.000
Li 0.162 0.938 0.500
Li 0.338 0.438 0.000
Li 0.496 0.712 0.500
Li 0.504 0.288 0.500
Li 0.662 0.562 0.000
Li 0.838 0.062 0.500
Li 0.996 0.788 0.000
Co 0.000 0.500 0.500
Co 0.500 0.000 0.000
B 0.241 0.194 0.500
B 0.259 0.694 0.000
B 0.741 0.306 0.000
B 0.759 0.806 0.500
O 0.087 0.132 0.500
O 0.113 0.607 0.000
O 0.240 0.840 0.000
O 0.260 0.340 0.500
O 0.387 0.107 0.500
O 0.413 0.632 0.000
O 0.587 0.368 0.000
O 0.613 0.893 0.500
O 0.740 0.660 0.500
O 0.760 0.160 0.000
O 0.887 0.393 0.000
O 0.913 0.868 0.500

Top 6 peaks for 10° ≤ 2θ ≤ 90°, by angle:
| 2θ/deg | I/Imax | (hkl) |
| --- | --- | --- |
| 14.51 | 100 | 1 1 0 |
| 29.26 | 39 | 2 2 0 |
| 30.46 | 39 | 1 3 0 |
| 31.27 | 51 | 1 1 1 |
| 35.41 | 35 | 1 2 1 |
| 46.15 | 27 | 2 3 1 |

Record 3
Diffraction record for Li5Co4B4O12. The X-ray diffraction stick pattern is simulated, not measured: it uses a crystal structure in Alexandria, relaxed with PBE+U and copper Kα.
Lines closer than 0.1° are merged.

Cell: 5.038 5.067 11.848 Å, 86.21 86.30 60.62°
Fractional positions:
Li 0.000 0.000 0.000
Li 0.001 0.033 0.451
Li 0.020 0.353 0.614
Li 0.023 0.034 0.813
Li 0.066 0.308 0.156
Co 0.352 0.380 0.378
Co 0.376 0.653 0.623
Co 0.676 0.679 0.939
Co 0.702 0.917 0.203
B 0.348 0.346 0.908
B 0.385 0.643 0.161
B 0.689 0.991 0.657
B 0.692 0.697 0.422
O 0.088 0.311 0.916
O 0.119 0.914 0.154
O 0.314 0.638 0.904
O 0.382 0.386 0.210
O 0.413 0.700 0.446
O 0.417 0.255 0.646
O 0.638 0.090 0.909
O 0.662 0.617 0.115
O 0.700 0.714 0.673
O 0.700 0.962 0.393
O 0.960 0.426 0.440
O 0.963 0.003 0.650

Top 6 peaks for 10° ≤ 2θ ≤ 90°, by angle:
| 2θ/deg | I/Imax | (hkl) |
| --- | --- | --- |
| 20.24 | 44 | 1 0 0 |
| 22.31 | 56 | 1 1 -1 |
| 24.48 | 45 | 1 1 2 |
| 25.67 | 39 | 0 1 -2 |
| 30.26 | 100 | 0 0 4 |
| 35.19 | 39 | 1 -1 0 |

What did the third record say?
Diffraction record for Li5Co4B4O12. The X-ray diffraction stick pattern is simulated, not measured: it uses a crystal structure in Alexandria, relaxed with PBE+U and copper Kα.
Lines closer than 0.1° are merged.

Cell: 5.038 5.067 11.848 Å, 86.21 86.30 60.62°
Fractional positions:
Li 0.000 0.000 0.000
Li 0.001 0.033 0.451
Li 0.020 0.353 0.614
Li 0.023 0.034 0.813
Li 0.066 0.308 0.156
Co 0.352 0.380 0.378
Co 0.376 0.653 0.623
Co 0.676 0.679 0.939
Co 0.702 0.917 0.203
B 0.348 0.346 0.908
B 0.385 0.643 0.161
B 0.689 0.991 0.657
B 0.692 0.697 0.422
O 0.088 0.311 0.916
O 0.119 0.914 0.154
O 0.314 0.638 0.904
O 0.382 0.386 0.210
O 0.413 0.700 0.446
O 0.417 0.255 0.646
O 0.638 0.090 0.909
O 0.662 0.617 0.115
O 0.700 0.714 0.673
O 0.700 0.962 0.393
O 0.960 0.426 0.440
O 0.963 0.003 0.650

Top 6 peaks for 10° ≤ 2θ ≤ 90°, by angle:
| 2θ/deg | I/Imax | (hkl) |
| --- | --- | --- |
| 20.24 | 44 | 1 0 0 |
| 22.31 | 56 | 1 1 -1 |
| 24.48 | 45 | 1 1 2 |
| 25.67 | 39 | 0 1 -2 |
| 30.26 | 100 | 0 0 4 |
| 35.19 | 39 | 1 -1 0 |